The following is a theoretical PXRD pattern of RbTbAg2Br6. It was derived from a crystal structure in Alexandria, relaxed with PBE, using Cu Ka.

Atomic structure:
Cell lengths 8.1157, 8.1157, 8.1157 Å; angles 54.94, 54.94, 54.94 degrees
Atoms (fractional coordinates):
1 Rb 0.0000 0.0000 0.0000
2 Tb 0.5261 0.5261 0.5261
3 Ag 0.1953 0.1953 0.1953
4 Ag 0.7153 0.7153 0.7153
5 Br 0.1240 0.4613 0.7807
6 Br 0.3764 0.9369 0.5291
7 Br 0.4613 0.7807 0.1240
8 Br 0.5291 0.3764 0.9369
9 Br 0.7807 0.1240 0.4613
10 Br 0.9369 0.5291 0.3764

Most intense lines, 2θ from 10° to 90°, sorted by position:
2theta	d/Å	intensity
14.32	6.185	19
16.15	5.488	42
22.04	4.033	38
23.77	3.744	25
27.13	3.287	72
32.63	2.744	31
35.22	2.548	19
35.47	2.531	100
40.77	2.213	21
41.79	2.161	50
46.49	1.953	25
72.21	1.308	25